For Cu2HRh, the PBE geometry in Alexandria gives the simulated powder XRD pattern in this record (Cu Kα, 1.54184 Å).

The 10 most intense peaks (10° ≤ 2θ ≤ 90°), by intensity:
41.58 deg, intensity 1000; 45.35 deg, intensity 469; 81.16 deg, intensity 257; 36.35 deg, intensity 149; 66.07 deg, intensity 142; 73.19 deg, intensity 131; 65.44 deg, intensity 66; 54.09 deg, intensity 64; 44.53 deg, intensity 54; 48.12 deg, intensity 50

Structure:
a = 10.173 Å, b = 4.000 Å, c = 4.000 Å
α = 90.00°, β = 90.00°, γ = 90.00°
Positions (direct):
1 Cu 0.074 0.250 0.000
2 Cu 0.074 0.750 0.500
3 Cu 0.220 0.250 0.500
4 Cu 0.220 0.750 0.000
5 Cu 0.780 0.250 0.000
6 Cu 0.780 0.750 0.500
7 Cu 0.926 0.250 0.500
8 Cu 0.926 0.750 0.000
9 H 0.412 0.250 0.502
10 H 0.412 0.750 0.002
11 H 0.588 0.250 0.002
12 H 0.588 0.750 0.502
13 Rh 0.395 0.250 0.000
14 Rh 0.395 0.750 0.500
15 Rh 0.605 0.250 0.500
16 Rh 0.605 0.750 0.000

For Sm2CuHRh6, the PBE geometry in Alexandria gives the simulated powder XRD pattern in this record (Cu Kα, 1.54184 Å).

The 10 most intense peaks (10° ≤ 2θ ≤ 90°), by intensity:
38.57 deg, intensity 1000; 42.47 deg, intensity 473; 35.46 deg, intensity 447; 39.61 deg, intensity 423; 30.92 deg, intensity 372; 62.29 deg, intensity 252; 42.36 deg, intensity 248; 67.05 deg, intensity 194; 56.52 deg, intensity 184; 59.46 deg, intensity 178

Structure:
a = 5.583 Å, b = 5.583 Å, c = 6.822 Å
α = 114.10°, β = 114.10°, γ = 59.90°
Positions (direct):
1 Sm 0.217 0.217 0.152
2 Sm 0.783 0.783 0.848
3 Cu 0.500 0.500 0.000
4 H 0.000 0.000 0.500
5 Rh 0.231 0.231 0.672
6 Rh 0.231 0.715 0.675
7 Rh 0.285 0.769 0.325
8 Rh 0.715 0.231 0.675
9 Rh 0.769 0.285 0.325
10 Rh 0.769 0.769 0.328

For YCu2H8Rh3, the PBE geometry in Alexandria gives the simulated powder XRD pattern in this record (Cu Kα, 1.54184 Å).

The 10 most intense peaks (10° ≤ 2θ ≤ 90°), by intensity:
38.66 deg, intensity 1000; 37.38 deg, intensity 758; 36.72 deg, intensity 651; 32.61 deg, intensity 270; 64.83 deg, intensity 270; 68.32 deg, intensity 229; 60.45 deg, intensity 194; 59.52 deg, intensity 187; 20.24 deg, intensity 167; 78.11 deg, intensity 165

Structure:
a = 5.503 Å, b = 5.503 Å, c = 5.503 Å
α = 63.03°, β = 63.03°, γ = 63.03°
Positions (direct):
1 Y 0.000 0.000 0.000
2 Cu 0.386 0.386 0.386
3 Cu 0.753 0.753 0.753
4 H 0.158 0.158 0.538
5 H 0.158 0.538 0.158
6 H 0.160 0.634 0.634
7 H 0.164 0.164 0.164
8 H 0.538 0.158 0.158
9 H 0.621 0.621 0.621
10 H 0.634 0.160 0.634
11 H 0.634 0.634 0.160
12 Rh 0.384 0.384 0.876
13 Rh 0.384 0.876 0.384
14 Rh 0.876 0.384 0.384

For Cu2H6Ru, the PBE geometry in Alexandria gives the simulated powder XRD pattern in this record (Cu Kα, 1.54184 Å).

The 10 most intense peaks (10° ≤ 2θ ≤ 90°), by intensity:
41.34 deg, intensity 1000; 30.98 deg, intensity 661; 44.08 deg, intensity 503; 30.60 deg, intensity 434; 19.75 deg, intensity 396; 41.42 deg, intensity 234; 74.03 deg, intensity 176; 61.89 deg, intensity 176; 48.53 deg, intensity 156; 62.27 deg, intensity 156

Structure:
a = 4.840 Å, b = 4.840 Å, c = 5.842 Å
α = 126.97°, β = 126.97°, γ = 38.14°
Positions (direct):
1 Cu 0.176 0.176 0.101
2 Cu 0.824 0.824 0.899
3 H 0.040 0.040 0.242
4 H 0.250 0.250 0.767
5 H 0.387 0.387 0.476
6 H 0.613 0.613 0.524
7 H 0.750 0.750 0.233
8 H 0.960 0.960 0.758
9 Ru 0.000 0.000 0.500